(1)
Sm9Dy11Ho4: computed powder diffraction line list (Cu Kα (weighted mean of Kα1 and Kα2)), based on a GGA-PBE-relaxed structure.
Neutral-atom scattering factors, no anomalous dispersion.

Most intense lines, 10° ≤ 2θ ≤ 90°, by intensity:
- 2θ = 30.03°, I = 100
- 2θ = 32.19°, I = 85
- 2θ = 32.39°, I = 68
- 2θ = 58.98°, I = 23
- 2θ = 30.95°, I = 23
- 2θ = 49.49°, I = 18
- 2θ = 32.05°, I = 11
- 2θ = 54.90°, I = 11
- 2θ = 32.89°, I = 11
- 2θ = 28.68°, I = 11

Atomic structure:
```
Sm9Dy11Ho4
1.0
8.3651 -12.7076 0.0000
8.3651 12.7076 0.0000
0.0000 0.0000 3.6834
Sm Dy Ho
9 11 4
Direct
0.0000 0.0000 0.0000 Sm
0.1300 0.6639 0.0000 Sm
0.2864 0.4336 0.0000 Sm
0.3361 0.8700 0.0000 Sm
0.4336 0.2864 0.0000 Sm
0.5664 0.7136 0.0000 Sm
0.6639 0.1300 0.0000 Sm
0.7136 0.5664 0.0000 Sm
0.8700 0.3361 0.0000 Sm
0.0943 0.4554 0.5000 Dy
0.1321 0.8679 0.5000 Dy
0.2095 0.2095 0.5000 Dy
0.3388 0.6612 0.5000 Dy
0.4554 0.0943 0.5000 Dy
0.5000 0.5000 0.5000 Dy
0.5446 0.9057 0.5000 Dy
0.6612 0.3388 0.5000 Dy
0.7905 0.7905 0.5000 Dy
0.8679 0.1321 0.5000 Dy
0.9057 0.5446 0.5000 Dy
0.0552 0.2564 0.0000 Ho
0.2564 0.0552 0.0000 Ho
0.7436 0.9448 0.0000 Ho
0.9448 0.7436 0.0000 Ho
```

***

(2)
Ac2Rh4Pb3: computed powder diffraction line list (Cu Kα (weighted mean of Kα1 and Kα2)), based on a GGA-PBE-relaxed structure.
Neutral-atom scattering factors, no anomalous dispersion.

Most intense lines, 10° ≤ 2θ ≤ 90°, by intensity:
- 2θ = 31.50°, I = 100
- 2θ = 37.26°, I = 93
- 2θ = 32.28°, I = 44
- 2θ = 37.83°, I = 35
- 2θ = 39.20°, I = 31
- 2θ = 26.10°, I = 29
- 2θ = 29.88°, I = 26
- 2θ = 34.83°, I = 26
- 2θ = 66.57°, I = 24
- 2θ = 58.02°, I = 23

Atomic structure:
```
Ac2Rh4Pb3
1.0
3.1798 -8.7889 0.0000
3.1798 8.7889 0.0000
0.0000 0.0000 7.4113
Ac Rh Pb
4 8 6
Direct
0.1033 0.8967 0.9178 Ac
0.3967 0.6033 0.4178 Ac
0.6033 0.3967 0.5822 Ac
0.8967 0.1033 0.0822 Ac
0.1638 0.8362 0.5298 Rh
0.1752 0.3248 0.7500 Rh
0.3248 0.1752 0.2500 Rh
0.3362 0.6638 0.0298 Rh
0.6638 0.3362 0.9702 Rh
0.6752 0.8248 0.7500 Rh
0.8248 0.6752 0.2500 Rh
0.8362 0.1638 0.4702 Rh
0.0000 0.0000 0.5000 Pb
0.0164 0.4836 0.7500 Pb
0.4836 0.0164 0.2500 Pb
0.5000 0.5000 0.0000 Pb
0.5164 0.9836 0.7500 Pb
0.9836 0.5164 0.2500 Pb
```